Record 1
# SmCuO2
Calculated PXRD pattern, Cu Kα, 1.54184 Å. Input: a crystal structure in the Materials Project, relaxed with GGA-PBE.

Largest 10 diffraction maxima, sorted by position, 10 to 90 degrees two-theta:
- (0 0 3), 15.5 deg, I 28
- (0 1 2), 29.9 deg, I 100
- (0 0 6), 31.3 deg, I 22
- (1 0 4), 35.1 deg, I 45
- (0 1 5), 38.5 deg, I 12
- (1 1 0), 49.5 deg, I 29
- (0 1 8), 51.3 deg, I 23
- (2 0 2), 58.9 deg, I 14
- (1 1 6), 59.7 deg, I 21
- (1 0 10), 61.3 deg, I 14

Cell and atoms:
```
data_SmCuO2
_cell_length_a 3.6836
_cell_length_b 3.6836
_cell_length_c 17.1629
_cell_angle_alpha 90.00
_cell_angle_beta 90.00
_cell_angle_gamma 120.00
_space_group_name_H-M_alt 'R -3 m'
_space_group_IT_number 166
_space_group_name_Hall '-R 3 2"'
loop_
_atom_site_label
_atom_site_type_symbol
_atom_site_fract_x
_atom_site_fract_y
_atom_site_fract_z
_atom_site_occupancy
Sm1 Sm 0.0000 0.0000 0.0000 1
Cu1 Cu 0.0000 0.0000 0.5000 1
O1 O 0.0000 0.0000 0.3937 1
```


Record 2
# SmCu2O4
Calculated PXRD pattern, Cu Kα, 1.54184 Å. Input: a crystal structure in the Materials Project, relaxed with GGA-PBE.

Largest 10 diffraction maxima, sorted by position, 10 to 90 degrees two-theta:
- (1 1 2), 28.5 deg, I 54
- (2 0 0), 30.9 deg, I 13
- (1 0 3), 31.7 deg, I 48
- (2 1 1), 35.9 deg, I 100
- (2 0 2), 36.1 deg, I 23
- (1 0 5), 49.5 deg, I 22
- (1 3 2), 53.5 deg, I 25
- (3 0 3), 55.4 deg, I 17
- (3 2 1), 58.3 deg, I 20
- (2 2 4), 59.0 deg, I 28

Cell and atoms:
```
data_SmCu2O4
_cell_length_a 5.7877
_cell_length_b 5.7877
_cell_length_c 9.7138
_cell_angle_alpha 90.00
_cell_angle_beta 90.00
_cell_angle_gamma 90.00
_space_group_name_H-M_alt 'I 41/a'
_space_group_IT_number 88
loop_
_space_group_symop_operation_xyz
'x,y,z'
'-x,-y,-z'
'-y+3/4,x+1/4,z+1/4'
'y+3/4,-x+1/4,-z+1/4'
'-x+1/2,-y,z+1/2'
'x+1/2,y,-z+1/2'
'y+3/4,-x+3/4,z+3/4'
'-y+3/4,x+3/4,-z+3/4'
'x+1/2,y+1/2,z+1/2'
'-x+1/2,-y+1/2,-z+1/2'
'-y+1/4,x+3/4,z+3/4'
'y+1/4,-x+3/4,-z+3/4'
'-x,-y+1/2,z'
'x,y+1/2,-z'
'y+1/4,-x+1/4,z+1/4'
'-y+1/4,x+1/4,-z+1/4'
loop_
_atom_site_label
_atom_site_type_symbol
_atom_site_fract_x
_atom_site_fract_y
_atom_site_fract_z
_atom_site_occupancy
Sm1 Sm 0.0000 0.2500 0.1250 1
Cu1 Cu 0.0000 0.0000 0.5000 1
O1 O 0.1458 0.0358 0.3238 1
```


Record 3
# Sm2Ti12Cu9O36
Calculated PXRD pattern, Cu Kα, 1.54184 Å. Input: a crystal structure in the Materials Project, relaxed with GGA-PBE.

Largest 10 diffraction maxima, sorted by position, 10 to 90 degrees two-theta:
- (2 0 1), 23.9 deg, I 7
- (0 2 2), 34.0 deg, I 100
- (3 -1 2), 38.2 deg, I 8
- (0 4 1), 42.0 deg, I 7
- (4 0 2), 48.9 deg, I 28
- (2 0 4), 60.8 deg, I 12
- (6 -4 2), 60.9 deg, I 36
- (0 4 4), 71.5 deg, I 6
- (4 2 4), 81.7 deg, I 8
- (8 -2 2), 81.8 deg, I 8

Cell and atoms:
```
data_Sm2Ti12Cu9O36
_cell_length_a 10.5271
_cell_length_b 10.5271
_cell_length_c 6.4692
_cell_angle_alpha 90.00
_cell_angle_beta 90.00
_cell_angle_gamma 120.00
_space_group_name_H-M_alt 'P -3'
_space_group_IT_number 147
_space_group_name_Hall '-P 3'
loop_
_atom_site_label
_atom_site_type_symbol
_atom_site_fract_x
_atom_site_fract_y
_atom_site_fract_z
_atom_site_occupancy
Sm1 Sm 0.3333 0.6667 0.3292 1
Ti1 Ti 0.0000 0.0000 0.5000 1
Ti2 Ti 0.0000 0.5000 0.5000 1
Ti3 Ti 0.1576 0.8395 0.1634 1
Ti4 Ti 0.3333 0.6667 0.8401 1
Cu1 Cu 0.0000 0.5000 0.0000 1
Cu2 Cu 0.1684 0.3367 0.6621 1
O1 O 0.0167 0.8519 0.3304 1
O2 O 0.0444 0.7750 0.9115 1
O3 O 0.0751 0.6255 0.2502 1
O4 O 0.1168 0.4094 0.4135 1
O5 O 0.1758 0.6493 0.6475 1
O6 O 0.1923 0.5087 0.0158 1
```


Record 4
# Sm2TiCuO6
Calculated PXRD pattern, Cu Kα, 1.54184 Å. Input: a crystal structure in the Materials Project, relaxed with GGA-PBE.

Largest 10 diffraction maxima, sorted by position, 10 to 90 degrees two-theta:
- (1 1 -1), 22.3 deg, I 34
- (0 0 2), 23.5 deg, I 23
- (1 1 -2), 25.3 deg, I 50
- (0 2 0), 30.6 deg, I 37
- (1 1 1), 32.6 deg, I 96
- (1 1 -3), 32.7 deg, I 100
- (2 0 -2), 32.9 deg, I 84
- (2 2 -2), 45.5 deg, I 35
- (0 0 4), 48.1 deg, I 28
- (1 3 0), 51.3 deg, I 42

Cell and atoms:
```
data_Sm2TiCuO6
_cell_length_a 5.4491
_cell_length_b 5.8397
_cell_length_c 9.2975
_cell_angle_alpha 90.00
_cell_angle_beta 125.56
_cell_angle_gamma 90.00
_space_group_name_H-M_alt 'P 1 21/c 1'
_space_group_IT_number 14
_space_group_name_Hall '-P 2ybc'
loop_
_atom_site_label
_atom_site_type_symbol
_atom_site_fract_x
_atom_site_fract_y
_atom_site_fract_z
_atom_site_occupancy
Sm1 Sm 0.2323 0.0715 0.2495 1
Ti1 Ti 0.5000 0.0000 0.0000 1
Cu1 Cu 0.0000 0.0000 0.5000 1
O1 O 0.1556 0.1784 0.9478 1
O2 O 0.2631 0.7091 0.9450 1
O3 O 0.3536 0.0356 0.7484 1
```


Record 5
# Cu3Sn4O12
Calculated PXRD pattern, Cu Kα, 1.54184 Å. Input: a crystal structure in the Materials Project, relaxed with GGA-PBE.

Largest 10 diffraction maxima, sorted by position, 10 to 90 degrees two-theta:
- (1 1 0), 16.3 deg, I 10
- (2 0 0), 23.1 deg, I 24
- (2 1 1), 28.4 deg, I 5
- (2 2 0), 32.9 deg, I 100
- (4 0 0), 47.2 deg, I 23
- (4 0 2), 53.2 deg, I 14
- (4 2 2), 58.8 deg, I 50
- (4 4 0), 69.0 deg, I 13
- (6 0 2), 78.6 deg, I 19
- (4 4 4), 87.9 deg, I 5

Cell and atoms:
```
data_Cu3Sn4O12
_cell_length_a 7.6976
_cell_length_b 7.6976
_cell_length_c 7.6976
_cell_angle_alpha 90.00
_cell_angle_beta 90.00
_cell_angle_gamma 90.00
_space_group_name_H-M_alt 'I m -3'
_space_group_IT_number 204
_space_group_name_Hall '-I 2 2 3'
loop_
_atom_site_label
_atom_site_type_symbol
_atom_site_fract_x
_atom_site_fract_y
_atom_site_fract_z
_atom_site_occupancy
Cu1 Cu 0.0000 0.0000 0.5000 1
Sn1 Sn 0.2500 0.2500 0.2500 1
O1 O 0.0000 0.1723 0.3235 1
```


Record 6
# Cu6SnO8
Calculated PXRD pattern, Cu Kα, 1.54184 Å. Input: a crystal structure in the Materials Project, relaxed with GGA-PBE.

Largest 10 diffraction maxima, sorted by position, 10 to 90 degrees two-theta:
- (1 1 1), 16.6 deg, I 49
- (3 1 1), 32.1 deg, I 6
- (2 2 2), 33.6 deg, I 100
- (4 0 0), 39.0 deg, I 30
- (3 3 1), 42.6 deg, I 18
- (4 4 0), 56.3 deg, I 45
- (5 3 1), 59.1 deg, I 8
- (6 2 2), 67.1 deg, I 37
- (4 4 4), 70.6 deg, I 8
- (8 0 0), 83.7 deg, I 6

Cell and atoms:
```
data_Cu6SnO8
_cell_length_a 9.2471
_cell_length_b 9.2471
_cell_length_c 9.2471
_cell_angle_alpha 90.00
_cell_angle_beta 90.00
_cell_angle_gamma 90.00
_space_group_name_H-M_alt 'F m -3 m'
_space_group_IT_number 225
_space_group_name_Hall '-F 4 2 3'
loop_
_atom_site_label
_atom_site_type_symbol
_atom_site_fract_x
_atom_site_fract_y
_atom_site_fract_z
_atom_site_occupancy
Cu1 Cu 0.0000 0.2500 0.2500 1
Sn1 Sn 0.0000 0.0000 0.0000 1
O1 O 0.1403 0.1403 0.1403 1
```


Record 7
# SrCu3Sn4O12
Calculated PXRD pattern, Cu Kα, 1.54184 Å. Input: a crystal structure in the Materials Project, relaxed with GGA-PBE.

Largest 10 diffraction maxima, sorted by position, 10 to 90 degrees two-theta:
- (2 0 0), 22.8 deg, I 10
- (2 2 0), 32.5 deg, I 100
- (3 0 1), 36.4 deg, I 3
- (4 0 0), 46.6 deg, I 24
- (4 2 0), 52.5 deg, I 6
- (4 2 2), 57.9 deg, I 49
- (4 4 0), 68.0 deg, I 13
- (6 2 0), 77.4 deg, I 19
- (6 2 2), 81.9 deg, I 2
- (4 4 4), 86.4 deg, I 5

Cell and atoms:
```
data_SrCu3Sn4O12
_cell_length_a 7.8004
_cell_length_b 7.8004
_cell_length_c 7.8004
_cell_angle_alpha 90.00
_cell_angle_beta 90.00
_cell_angle_gamma 90.00
_space_group_name_H-M_alt 'I m -3'
_space_group_IT_number 204
_space_group_name_Hall '-I 2 2 3'
loop_
_atom_site_label
_atom_site_type_symbol
_atom_site_fract_x
_atom_site_fract_y
_atom_site_fract_z
_atom_site_occupancy
Sr1 Sr 0.0000 0.0000 0.0000 1
Cu1 Cu 0.0000 0.0000 0.5000 1
Sn1 Sn 0.2500 0.2500 0.2500 1
O1 O 0.0000 0.3094 0.1714 1
```


Record 8
# Sr2Cu2SnO7
Calculated PXRD pattern, Cu Kα, 1.54184 Å. Input: a crystal structure in the Materials Project, relaxed with GGA-PBE.

Largest 10 diffraction maxima, sorted by position, 10 to 90 degrees two-theta:
- (6 0 0), 20.3 deg, I 21
- (4 1 1), 27.9 deg, I 100
- (6 1 1), 31.9 deg, I 69
- (10 0 0), 34.2 deg, I 33
- (0 2 0), 34.5 deg, I 32
- (0 0 2), 34.7 deg, I 32
- (8 1 1), 36.8 deg, I 27
- (10 2 0), 49.4 deg, I 20
- (10 0 2), 49.5 deg, I 21
- (0 2 2), 49.7 deg, I 36

Cell and atoms:
```
data_Sr2Cu2SnO7
_cell_length_a 26.2166
_cell_length_b 5.1995
_cell_length_c 5.1737
_cell_angle_alpha 90.00
_cell_angle_beta 90.00
_cell_angle_gamma 90.00
_space_group_name_H-M_alt 'I m a 2'
_space_group_IT_number 46
_space_group_name_Hall 'I 2 -2a'
loop_
_atom_site_label
_atom_site_type_symbol
_atom_site_fract_x
_atom_site_fract_y
_atom_site_fract_z
_atom_site_occupancy
Sr1 Sr 0.1411 0.0044 0.0000 1
Cu1 Cu 0.0600 0.5015 0.9998 1
Sn1 Sn 0.2500 0.5446 0.9512 1
O1 O 0.0750 0.2492 0.2494 1
O2 O 0.0761 0.7498 0.2503 1
O3 O 0.1782 0.0260 0.5170 1
O4 O 0.2500 0.5700 0.5538 1
```


Record 9
# SrCuO3
Calculated PXRD pattern, Cu Kα, 1.54184 Å. Input: a crystal structure in the Materials Project, relaxed with GGA-PBE.

Largest 8 diffraction maxima, sorted by position, 10 to 90 degrees two-theta:
- (1 1 0), 32.6 deg, I 100
- (1 1 1), 40.2 deg, I 8
- (2 0 0), 46.8 deg, I 37
- (2 1 1), 58.2 deg, I 38
- (2 2 0), 68.3 deg, I 21
- (3 1 0), 77.7 deg, I 16
- (3 1 1), 82.3 deg, I 2
- (2 2 2), 86.9 deg, I 7

Cell and atoms:
```
data_SrCuO3
_cell_length_a 3.8845
_cell_length_b 3.8845
_cell_length_c 3.8845
_cell_angle_alpha 90.00
_cell_angle_beta 90.00
_cell_angle_gamma 90.00
_space_group_name_H-M_alt 'P m -3 m'
_space_group_IT_number 221
_space_group_name_Hall '-P 4 2 3'
loop_
_atom_site_label
_atom_site_type_symbol
_atom_site_fract_x
_atom_site_fract_y
_atom_site_fract_z
_atom_site_occupancy
Sr1 Sr 0.0000 0.0000 0.0000 1
Cu1 Cu 0.5000 0.5000 0.5000 1
O1 O 0.0000 0.5000 0.5000 1
```


Record 10
# Sr2Cu2O5
Calculated PXRD pattern, Cu Kα, 1.54184 Å. Input: a crystal structure in the Materials Project, relaxed with GGA-PBE.

Largest 10 diffraction maxima, sorted by position, 10 to 90 degrees two-theta:
- (2 0 0), 11.1 deg, I 10
- (4 1 1), 32.1 deg, I 100
- (0 0 2), 32.4 deg, I 65
- (4 2 0), 39.7 deg, I 8
- (6 1 1), 41.2 deg, I 12
- (8 0 0), 45.6 deg, I 15
- (0 2 2), 46.5 deg, I 34
- (8 0 2), 57.1 deg, I 16
- (4 1 3), 57.6 deg, I 37
- (8 2 2), 67.2 deg, I 14

Cell and atoms:
```
data_Sr2Cu2O5
_cell_length_a 15.9060
_cell_length_b 5.5183
_cell_length_c 5.5290
_cell_angle_alpha 90.00
_cell_angle_beta 90.00
_cell_angle_gamma 90.00
_space_group_name_H-M_alt 'I m a 2'
_space_group_IT_number 46
_space_group_name_Hall 'I 2 -2a'
loop_
_atom_site_label
_atom_site_type_symbol
_atom_site_fract_x
_atom_site_fract_y
_atom_site_fract_z
_atom_site_occupancy
Sr1 Sr 0.1094 0.0053 0.0000 1
Cu1 Cu 0.0000 0.0000 0.4991 1
Cu2 Cu 0.2500 0.5564 0.0302 1
O1 O 0.0046 0.7478 0.2520 1
O2 O 0.1384 0.0318 0.4934 1
O3 O 0.2500 0.6391 0.3549 1
```


Record 11
# Sr2CuO4
Calculated PXRD pattern, Cu Kα, 1.54184 Å. Input: a crystal structure in the Materials Project, relaxed with GGA-PBE.

Largest 10 diffraction maxima, sorted by position, 10 to 90 degrees two-theta:
- (0 0 2), 14.3 deg, I 15
- (1 0 3), 31.4 deg, I 100
- (1 1 0), 32.3 deg, I 77
- (1 0 5), 43.1 deg, I 19
- (0 0 6), 43.8 deg, I 37
- (2 0 0), 46.3 deg, I 43
- (1 1 6), 55.4 deg, I 18
- (2 1 3), 57.0 deg, I 41
- (2 0 6), 65.6 deg, I 15
- (2 2 6), 84.1 deg, I 13

Cell and atoms:
```
data_Sr2CuO4
_cell_length_a 3.9197
_cell_length_b 3.9197
_cell_length_c 12.4200
_cell_angle_alpha 90.00
_cell_angle_beta 90.00
_cell_angle_gamma 90.00
_space_group_name_H-M_alt 'I 4/m m m'
_space_group_IT_number 139
_space_group_name_Hall '-I 4 2'
loop_
_atom_site_label
_atom_site_type_symbol
_atom_site_fract_x
_atom_site_fract_y
_atom_site_fract_z
_atom_site_occupancy
Sr1 Sr 0.0000 0.0000 0.1406 1
Cu1 Cu 0.0000 0.0000 0.5000 1
O1 O 0.0000 0.0000 0.3423 1
O2 O 0.0000 0.5000 0.0000 1
```